No. 1
# NaAg12Te7
Calculated X-ray diffraction stick pattern, λ = 1.5418 Å (Cu Kα). Input: a crystal structure in Alexandria, relaxed with PBE.

```
data_NaAg12Te7
_chemical_formula_sum 'Na3 Ag36 Te21'
_cell_length_a 13.9250
_cell_length_b 13.9250
_cell_length_c 8.4090
_cell_angle_alpha 90.00
_cell_angle_beta 90.00
_cell_angle_gamma 120.00
_space_group_name_H-M_alt 'R -3'
_space_group_IT_number 148
_space_group_name_Hall '-R 3'
loop_
_atom_site_label
_atom_site_fract_x
_atom_site_fract_y
_atom_site_fract_z
Na1 0.0000 0.0000 0.0000
Ag1 0.0051 0.7883 0.1819
Ag2 0.0888 0.5515 0.1633
Te1 0.0000 0.0000 0.5000
Te2 0.0056 0.7912 0.8144
```

Main lines, most intense first (10 to 90 degrees two-theta):
34.09 deg, rel. 100, (4 1 0)
31.93 deg, rel. 58, (0 0 3)
47.38 deg, rel. 42, (5 -4 3)
38.97 deg, rel. 33, (5 -3 2)
43.25 deg, rel. 19, (5 0 2)
36.68 deg, rel. 16, (0 4 2)
76.37 deg, rel. 16, (10 -5 3)
79.24 deg, rel. 15, (9 0 3)
67.23 deg, rel. 14, (5 5 0)
22.13 deg, rel. 13, (3 0 0)

***

No. 2
# Na3Ag6Te5
Calculated X-ray diffraction stick pattern, λ = 1.5418 Å (Cu Kα). Input: a crystal structure in Alexandria, relaxed with PBE.

```
data_Na3Ag6Te5
_chemical_formula_sum 'Na6 Ag12 Te10'
_cell_length_a 4.469
_cell_length_b 13.906
_cell_length_c 11.880
_cell_angle_alpha 90.00
_cell_angle_beta 90.00
_cell_angle_gamma 90.00
_space_group_name_H-M_alt 'P m m n'
_space_group_IT_number 59
loop_
_space_group_symop_operation_xyz
'x,y,z'
'-x,-y,-z'
'-x+1/2,-y+1/2,z'
'x+1/2,y+1/2,-z'
'x+1/2,-y,-z'
'-x+1/2,y,z'
'-x,y+1/2,-z'
'x,-y+1/2,z'
loop_
_atom_site_label
_atom_site_fract_x
_atom_site_fract_y
_atom_site_fract_z
Na1 0.250 0.083 0.240
Na2 0.250 0.750 0.237
Ag1 0.250 0.069 0.624
Ag2 0.250 0.250 0.009
Ag3 0.250 0.250 0.484
Ag4 0.250 0.597 0.992
Te1 0.250 0.083 0.855
Te2 0.250 0.617 0.519
Te3 0.250 0.750 0.832
```

Main lines, most intense first (10 to 90 degrees two-theta):
31.63 deg, rel. 100, (1 3 2)
41.37 deg, rel. 73, (1 3 4)
14.91 deg, rel. 54, (0 0 2)
40.37 deg, rel. 35, (2 0 0)
21.24 deg, rel. 34, (1 0 1)
38.86 deg, rel. 32, (0 6 0)
20.57 deg, rel. 29, (0 3 1)
57.27 deg, rel. 16, (2 6 0)
30.14 deg, rel. 15, (1 0 3)
32.82 deg, rel. 13, (0 2 4)

***

No. 3
# NaAg4Te4
Calculated X-ray diffraction stick pattern, λ = 1.5418 Å (Cu Kα). Input: a crystal structure in Alexandria, relaxed with PBE.

```
data_NaAg4Te4
_chemical_formula_sum 'Na2 Ag8 Te8'
_cell_length_a 9.307
_cell_length_b 9.307
_cell_length_c 6.127
_cell_angle_alpha 90.00
_cell_angle_beta 90.00
_cell_angle_gamma 90.00
_space_group_name_H-M_alt 'P 42/n'
_space_group_IT_number 86
loop_
_space_group_symop_operation_xyz
'x,y,z'
'-x,-y,-z'
'-y,x+1/2,z+1/2'
'y,-x+1/2,-z+1/2'
'-x+1/2,-y+1/2,z'
'x+1/2,y+1/2,-z'
'y+1/2,-x,z+1/2'
'-y+1/2,x,-z+1/2'
loop_
_atom_site_label
_atom_site_fract_x
_atom_site_fract_y
_atom_site_fract_z
Na1 0.250 0.250 0.250
Ag1 0.086 0.592 0.141
Te1 0.099 0.605 0.650
```

Main lines, most intense first (10 to 90 degrees two-theta):
41.42 deg, rel. 100, (3 0 2)
30.37 deg, rel. 90, (1 3 0)
13.45 deg, rel. 82, (1 1 0)
30.73 deg, rel. 79, (1 0 2)
41.15 deg, rel. 48, (3 3 0)
19.07 deg, rel. 47, (2 0 0)
57.98 deg, rel. 39, (4 3 2)
38.70 deg, rel. 35, (4 0 0)
75.18 deg, rel. 24, (3 6 2)
50.20 deg, rel. 21, (1 4 2)

***

No. 4
# NaAg3Te3
Calculated X-ray diffraction stick pattern, λ = 1.5418 Å (Cu Kα). Input: a crystal structure in Alexandria, relaxed with PBE.

```
data_NaAg3Te3
_chemical_formula_sum 'Na2 Ag6 Te6'
_cell_length_a 7.821
_cell_length_b 7.821
_cell_length_c 7.821
_cell_angle_alpha 90.00
_cell_angle_beta 90.00
_cell_angle_gamma 90.00
_space_group_name_H-M_alt 'P m -3 n'
_space_group_IT_number 223
_space_group_name_Hall '-P 4n 2 3'
loop_
_atom_site_label
_atom_site_fract_x
_atom_site_fract_y
_atom_site_fract_z
Na1 0.000 0.000 0.000
Ag1 0.000 0.250 0.500
Te1 0.000 0.500 0.250
```

Main lines, most intense first (10 to 90 degrees two-theta):
16.03 deg, rel. 100, (1 1 0)
27.94 deg, rel. 80, (2 1 1)
39.93 deg, rel. 70, (2 2 2)
43.28 deg, rel. 48, (3 2 1)
46.44 deg, rel. 39, (4 0 0)
22.74 deg, rel. 34, (2 0 0)
36.32 deg, rel. 26, (3 1 0)
81.66 deg, rel. 25, (6 2 2)
67.78 deg, rel. 24, (4 4 0)
32.38 deg, rel. 18, (2 2 0)

***

No. 5
# NaTiAg2Te4
Calculated X-ray diffraction stick pattern, λ = 1.5418 Å (Cu Kα). Input: a crystal structure in Alexandria, relaxed with PBE.

```
data_NaTiAg2Te4
_chemical_formula_sum 'Na2 Ti2 Ag4 Te8'
_cell_length_a 6.948
_cell_length_b 6.948
_cell_length_c 11.283
_cell_angle_alpha 90.00
_cell_angle_beta 90.00
_cell_angle_gamma 90.00
_space_group_name_H-M_alt 'I -4 2 m'
_space_group_IT_number 121
_space_group_name_Hall 'I -4 2'
loop_
_atom_site_label
_atom_site_fract_x
_atom_site_fract_y
_atom_site_fract_z
Na1 0.000 0.000 0.000
Ti1 0.000 0.000 0.500
Ag1 0.000 0.500 0.250
Te1 0.220 0.220 0.631
```

Main lines, most intense first (10 to 90 degrees two-theta):
24.02 deg, rel. 100, (1 1 2)
41.23 deg, rel. 42, (2 0 4)
44.24 deg, rel. 31, (3 1 2)
36.58 deg, rel. 28, (2 2 0)
69.01 deg, rel. 12, (4 2 4)
52.08 deg, rel. 11, (1 1 6)
65.31 deg, rel. 9, (3 1 6)
52.70 deg, rel. 8, (4 0 0)
14.97 deg, rel. 8, (1 0 1)
15.71 deg, rel. 8, (0 0 2)

***

No. 6
# Na2UAgTe4
Calculated X-ray diffraction stick pattern, λ = 1.5418 Å (Cu Kα). Input: a crystal structure in Alexandria, relaxed with PBE.

```
data_Na2UAgTe4
_chemical_formula_sum 'Na4 U2 Ag2 Te8'
_cell_length_a 7.846
_cell_length_b 7.846
_cell_length_c 7.310
_cell_angle_alpha 90.00
_cell_angle_beta 90.00
_cell_angle_gamma 90.00
_space_group_name_H-M_alt 'I -4 2 m'
_space_group_IT_number 121
_space_group_name_Hall 'I -4 2'
loop_
_atom_site_label
_atom_site_fract_x
_atom_site_fract_y
_atom_site_fract_z
Na1 0.000 0.500 0.000
U1 0.000 0.000 0.000
Ag1 0.000 0.000 0.500
Te1 0.205 0.205 0.263
```

Main lines, most intense first (10 to 90 degrees two-theta):
33.51 deg, rel. 100, (2 0 2)
15.98 deg, rel. 50, (1 1 0)
32.27 deg, rel. 47, (2 2 0)
28.21 deg, rel. 39, (2 1 1)
44.12 deg, rel. 23, (3 1 2)
49.50 deg, rel. 20, (4 1 1)
58.34 deg, rel. 20, (4 2 2)
29.26 deg, rel. 15, (1 1 2)
60.68 deg, rel. 15, (2 2 4)
75.26 deg, rel. 13, (5 3 2)

***

No. 7
# NaTh2Ag6
Calculated X-ray diffraction stick pattern, λ = 1.5418 Å (Cu Kα). Input: a crystal structure in Alexandria, relaxed with PBE.

```
data_NaTh2Ag6
_chemical_formula_sum 'Na1 Th2 Ag6'
_cell_length_a 8.5073
_cell_length_b 8.5073
_cell_length_c 3.3115
_cell_angle_alpha 90.00
_cell_angle_beta 90.00
_cell_angle_gamma 120.00
_space_group_name_H-M_alt 'P 6/m m m'
_space_group_IT_number 191
_space_group_name_Hall '-P 6 2'
loop_
_atom_site_label
_atom_site_fract_x
_atom_site_fract_y
_atom_site_fract_z
Na1 0.0000 0.0000 0.0000
Th1 0.3333 0.6667 0.0000
Ag1 0.0000 0.3306 0.5000
```

Main lines, most intense first (10 to 90 degrees two-theta):
34.32 deg, rel. 100, (1 1 1)
36.59 deg, rel. 84, (3 0 0)
51.04 deg, rel. 32, (2 2 1)
12.01 deg, rel. 32, (1 0 0)
64.42 deg, rel. 32, (4 1 1)
68.32 deg, rel. 26, (3 0 2)
65.87 deg, rel. 15, (3 3 0)
87.85 deg, rel. 14, (5 2 1)
77.77 deg, rel. 10, (6 0 0)
29.58 deg, rel. 9, (1 0 1)

***

No. 8
# Na5Tl5Ag2
Calculated X-ray diffraction stick pattern, λ = 1.5418 Å (Cu Kα). Input: a crystal structure in Alexandria, relaxed with PBE.

```
data_Na5Tl5Ag2
_chemical_formula_sum 'Na15 Tl15 Ag6'
_cell_length_a 5.2500
_cell_length_b 5.2500
_cell_length_c 40.2877
_cell_angle_alpha 90.00
_cell_angle_beta 90.00
_cell_angle_gamma 120.00
_space_group_name_H-M_alt 'R -3 m'
_space_group_IT_number 166
_space_group_name_Hall '-R 3 2"'
loop_
_atom_site_label
_atom_site_fract_x
_atom_site_fract_y
_atom_site_fract_z
Na1 0.0000 0.0000 0.0000
Na2 0.0000 0.0000 0.1942
Na3 0.0000 0.0000 0.2743
Tl1 0.0000 0.0000 0.1019
Tl2 0.0000 0.0000 0.3547
Tl3 0.0000 0.0000 0.5000
Ag1 0.0000 0.0000 0.4273
```

Main lines, most intense first (10 to 90 degrees two-theta):
34.16 deg, rel. 100, (1 1 0)
35.04 deg, rel. 48, (1 0 13)
21.44 deg, rel. 38, (1 0 4)
48.49 deg, rel. 30, (1 1 15)
24.96 deg, rel. 22, (1 0 7)
22.45 deg, rel. 19, (0 1 5)
19.65 deg, rel. 19, (1 0 1)
61.72 deg, rel. 19, (2 1 13)
61.15 deg, rel. 19, (3 0 0)
49.74 deg, rel. 18, (0 2 13)

***

No. 9
# Na3Tl5Ag
Calculated X-ray diffraction stick pattern, λ = 1.5418 Å (Cu Kα). Input: a crystal structure in Alexandria, relaxed with PBE.

```
data_Na3Tl5Ag
_chemical_formula_sum 'Na3 Tl5 Ag1'
_cell_length_a 8.9460
_cell_length_b 8.9460
_cell_length_c 3.5070
_cell_angle_alpha 90.00
_cell_angle_beta 90.00
_cell_angle_gamma 120.00
_space_group_name_H-M_alt 'P -6 2 m'
_space_group_IT_number 189
_space_group_name_Hall 'P -6 -2'
loop_
_atom_site_label
_atom_site_fract_x
_atom_site_fract_y
_atom_site_fract_z
Na1 0.0000 0.3666 0.0000
Tl1 0.0000 0.7193 0.5000
Tl2 0.3333 0.6667 0.5000
Ag1 0.0000 0.0000 0.0000
```

Main lines, most intense first (10 to 90 degrees two-theta):
34.74 deg, rel. 100, (3 0 0)
19.85 deg, rel. 85, (1 1 0)
40.12 deg, rel. 70, (2 1 1)
32.44 deg, rel. 68, (1 1 1)
34.50 deg, rel. 52, (2 0 1)
25.40 deg, rel. 49, (0 0 1)
43.52 deg, rel. 45, (3 0 1)
58.19 deg, rel. 42, (3 2 1)
30.53 deg, rel. 38, (2 1 0)
64.20 deg, rel. 34, (3 0 2)

***

No. 10
# Na2TlAg2
Calculated X-ray diffraction stick pattern, λ = 1.5418 Å (Cu Kα). Input: a crystal structure in Alexandria, relaxed with PBE.

```
data_Na2TlAg2
_chemical_formula_sum 'Na4 Tl2 Ag4'
_cell_length_a 4.367
_cell_length_b 4.367
_cell_length_c 13.901
_cell_angle_alpha 90.00
_cell_angle_beta 90.00
_cell_angle_gamma 90.00
_space_group_name_H-M_alt 'I 4/m m m'
_space_group_IT_number 139
_space_group_name_Hall '-I 4 2'
loop_
_atom_site_label
_atom_site_fract_x
_atom_site_fract_y
_atom_site_fract_z
Na1 0.000 0.500 0.250
Tl1 0.000 0.000 0.000
Ag1 0.000 0.000 0.402
```

Main lines, most intense first (10 to 90 degrees two-theta):
38.38 deg, rel. 100, (1 0 5)
12.74 deg, rel. 97, (0 0 2)
31.71 deg, rel. 97, (1 1 2)
28.08 deg, rel. 88, (1 0 3)
28.92 deg, rel. 83, (1 1 0)
57.69 deg, rel. 60, (2 1 5)
41.35 deg, rel. 50, (2 0 0)
50.73 deg, rel. 35, (2 1 3)
50.49 deg, rel. 20, (1 0 7)
43.44 deg, rel. 20, (2 0 2)

***

No. 11
# Na2Tl3Ag
Calculated X-ray diffraction stick pattern, λ = 1.5418 Å (Cu Kα). Input: a crystal structure in Alexandria, relaxed with PBE.

```
data_Na2Tl3Ag
_chemical_formula_sum 'Na4 Tl6 Ag2'
_cell_length_a 5.076
_cell_length_b 13.768
_cell_length_c 4.556
_cell_angle_alpha 90.00
_cell_angle_beta 90.00
_cell_angle_gamma 90.00
_space_group_name_H-M_alt 'C m m m'
_space_group_IT_number 65
_space_group_name_Hall '-C 2 2'
loop_
_atom_site_label
_atom_site_fract_x
_atom_site_fract_y
_atom_site_fract_z
Na1 0.000 0.163 0.000
Tl1 0.000 0.000 0.500
Tl2 0.000 0.348 0.500
Ag1 0.000 0.500 0.000
```

Main lines, most intense first (10 to 90 degrees two-theta):
32.84 deg, rel. 100, (1 3 1)
19.48 deg, rel. 30, (0 0 1)
26.18 deg, rel. 28, (1 3 0)
35.37 deg, rel. 21, (2 0 0)
61.90 deg, rel. 16, (3 3 1)
39.56 deg, rel. 16, (0 0 2)
39.26 deg, rel. 14, (0 6 0)
54.10 deg, rel. 13, (2 0 2)
67.54 deg, rel. 12, (1 3 3)
48.06 deg, rel. 11, (1 3 2)

***

No. 12
# Na2Tl3Ag
Calculated X-ray diffraction stick pattern, λ = 1.5418 Å (Cu Kα). Input: a crystal structure in Alexandria, relaxed with PBE.

```
data_Na2Tl3Ag
_chemical_formula_sum 'Na2 Tl3 Ag1'
_cell_length_a 3.497
_cell_length_b 5.130
_cell_length_c 9.033
_cell_angle_alpha 90.00
_cell_angle_beta 90.00
_cell_angle_gamma 90.00
_space_group_name_H-M_alt 'P m m 2'
_space_group_IT_number 25
loop_
_space_group_symop_operation_xyz
'x,y,z'
'-x,-y,z'
'-x,y,z'
'x,-y,z'
loop_
_atom_site_label
_atom_site_fract_x
_atom_site_fract_y
_atom_site_fract_z
Na1 0.000 0.000 0.000
Na2 0.000 0.500 0.472
Tl1 0.500 0.000 0.635
Tl2 0.500 0.500 0.161
Tl3 0.500 0.500 0.821
Ag1 0.500 0.000 0.311
```

Main lines, most intense first (10 to 90 degrees two-theta):
34.54 deg, rel. 100, (0 1 3)
25.47 deg, rel. 86, (1 0 0)
43.40 deg, rel. 82, (1 1 3)
32.54 deg, rel. 73, (1 1 1)
19.90 deg, rel. 72, (0 1 1)
34.98 deg, rel. 50, (0 2 0)
43.77 deg, rel. 41, (1 2 0)
32.38 deg, rel. 33, (1 0 2)
64.22 deg, rel. 33, (2 1 3)
19.66 deg, rel. 33, (0 0 2)

***

No. 13
# Na3Tl2Ag2
Calculated X-ray diffraction stick pattern, λ = 1.5418 Å (Cu Kα). Input: a crystal structure in Alexandria, relaxed with PBE.

```
data_Na3Tl2Ag2
_chemical_formula_sum 'Na6 Tl4 Ag4'
_cell_length_a 8.823
_cell_length_b 5.113
_cell_length_c 8.127
_cell_angle_alpha 90.00
_cell_angle_beta 111.61
_cell_angle_gamma 90.00
_space_group_name_H-M_alt 'C 1 2/m 1'
_space_group_IT_number 12
loop_
_space_group_symop_operation_xyz
'x,y,z'
'-x,-y,-z'
'-x,y,-z'
'x,-y,z'
'x+1/2,y+1/2,z'
'-x+1/2,-y+1/2,-z'
'-x+1/2,y+1/2,-z'
'x+1/2,-y+1/2,z'
loop_
_atom_site_label
_atom_site_fract_x
_atom_site_fract_y
_atom_site_fract_z
Na1 0.000 0.000 0.000
Na2 0.142 0.000 0.425
Tl1 0.086 0.500 0.759
Ag1 0.223 0.500 0.168
```

Main lines, most intense first (10 to 90 degrees two-theta):
20.47 deg, rel. 100, (1 1 0)
35.21 deg, rel. 80, (3 1 -1)
34.38 deg, rel. 64, (1 1 2)
23.55 deg, rel. 48, (0 0 2)
42.69 deg, rel. 41, (0 2 2)
35.10 deg, rel. 41, (0 2 0)
34.24 deg, rel. 32, (2 0 -3)
49.85 deg, rel. 22, (2 2 -3)
62.49 deg, rel. 22, (1 3 2)
42.92 deg, rel. 20, (3 1 1)